1.
This entry pairs a crystal structure of Mg6GaMo with its calculated powder XRD pattern. Radiation: CuKα. Structure: a DFT-relaxed cell (PBE, the Materials Project).
Kinematic intensities with the Lorentz-polarization factor, no thermal factor.

Peak list (10 most intense, 10° ≤ 2θ ≤ 90°, in order of rising 2θ)
2theta	intensity
16.35	46
17.98	33
24.39	29
34.75	38
36.42	43
37.87	65
39.39	100
51.22	25
67.53	19
72.35	26

Structure:
```
Mg6GaMo
1.0
4.9337 0.0000 0.0000
0.0000 5.8720 0.0000
0.0000 0.0000 10.8442
Mg Ga Mo
12 2 2
Direct
0.0000 0.0000 0.0000
0.0000 0.0000 0.4957
0.0000 0.2399 0.2589
0.0000 0.2601 0.7589
0.0000 0.5000 0.5000
0.0000 0.5000 0.9957
0.0000 0.7399 0.7589
0.0000 0.7601 0.2589
0.5000 0.2484 0.5960
0.5000 0.2516 0.0960
0.5000 0.7484 0.0960
0.5000 0.7516 0.5960
0.5000 0.0000 0.8433
0.5000 0.5000 0.3433
0.5000 0.0000 0.3482
0.5000 0.5000 0.8482
```


2.
This entry pairs a crystal structure of Mg2Ga3MoS8 with its calculated powder XRD pattern. Radiation: CuKα. Structure: a DFT-relaxed cell (PBE, the Materials Project).
Kinematic intensities with the Lorentz-polarization factor, no thermal factor.

Peak list (10 most intense, 10° ≤ 2θ ≤ 90°, in order of rising 2θ)
2theta	intensity
14.76	80
28.19	24
28.41	49
28.52	13
34.39	100
45.19	24
45.34	15
49.16	47
49.71	45
61.85	15

Structure:
```
Mg2Ga3MoS8
1.0
3.6683 2.1179 6.0859
-3.6683 2.1179 6.0859
0.0000 -4.2358 6.0859
Mg Ga Mo S
2 3 1 8
Direct
0.1257 0.1257 0.1257
0.8743 0.8743 0.8743
0.0000 0.5000 0.5000
0.5000 0.0000 0.5000
0.5000 0.5000 0.0000
0.5000 0.5000 0.5000
0.2606 0.2606 0.2606
0.2618 0.2618 0.7155
0.2618 0.7155 0.2618
0.2845 0.7382 0.7382
0.7155 0.2618 0.2618
0.7382 0.2845 0.7382
0.7382 0.7382 0.2845
0.7394 0.7394 0.7394
```


3.
This entry pairs a crystal structure of Mg3Ga2N4 with its calculated powder XRD pattern. Radiation: CuKα. Structure: a DFT-relaxed cell (PBE, the Materials Project).
Kinematic intensities with the Lorentz-polarization factor, no thermal factor.

Peak list (10 most intense, 10° ≤ 2θ ≤ 90°, in order of rising 2θ)
2theta	intensity
19.81	100
21.44	41
33.62	29
36.63	51
37.90	27
40.24	58
41.13	17
49.08	26
51.32	22
54.14	14

Structure:
```
Mg3Ga2N4
1.0
5.3271 0.0000 0.0000
0.0000 10.3510 0.0000
0.0000 0.0000 8.2909
Mg Ga N
12 8 16
Direct
0.1644 0.1712 0.1090
0.1644 0.3288 0.3910
0.2500 0.0000 0.4461
0.2500 0.5000 0.0539
0.3356 0.6712 0.3910
0.3356 0.8288 0.1090
0.6644 0.1712 0.8910
0.6644 0.3288 0.6090
0.7500 0.0000 0.5539
0.7500 0.5000 0.9461
0.8356 0.6712 0.6090
0.8356 0.8288 0.8910
0.2106 0.2500 0.7500
0.2500 0.0000 0.7916
0.2500 0.5000 0.7084
0.2894 0.7500 0.7500
0.7106 0.2500 0.2500
0.7500 0.0000 0.2084
0.7500 0.5000 0.2916
0.7894 0.7500 0.2500
0.0294 0.6201 0.8464
0.0294 0.8799 0.6536
0.0374 0.1309 0.8836
0.0374 0.3691 0.6164
0.4626 0.6309 0.6164
0.4626 0.8691 0.8836
0.4706 0.1201 0.6536
0.4706 0.3799 0.8464
0.5294 0.6201 0.1536
0.5294 0.8799 0.3464
0.5374 0.1309 0.1164
0.5374 0.3691 0.3836
0.9626 0.6309 0.3836
0.9626 0.8691 0.1164
0.9706 0.1201 0.3464
0.9706 0.3799 0.1536
```


What did the first record say?
This entry pairs a crystal structure of Mg6GaMo with its calculated powder XRD pattern. Radiation: CuKα. Structure: a DFT-relaxed cell (PBE, the Materials Project).
Kinematic intensities with the Lorentz-polarization factor, no thermal factor.

Peak list (10 most intense, 10° ≤ 2θ ≤ 90°, in order of rising 2θ)
2theta	intensity
16.35	46
17.98	33
24.39	29
34.75	38
36.42	43
37.87	65
39.39	100
51.22	25
67.53	19
72.35	26

Structure:
```
Mg6GaMo
1.0
4.9337 0.0000 0.0000
0.0000 5.8720 0.0000
0.0000 0.0000 10.8442
Mg Ga Mo
12 2 2
Direct
0.0000 0.0000 0.0000
0.0000 0.0000 0.4957
0.0000 0.2399 0.2589
0.0000 0.2601 0.7589
0.0000 0.5000 0.5000
0.0000 0.5000 0.9957
0.0000 0.7399 0.7589
0.0000 0.7601 0.2589
0.5000 0.2484 0.5960
0.5000 0.2516 0.0960
0.5000 0.7484 0.0960
0.5000 0.7516 0.5960
0.5000 0.0000 0.8433
0.5000 0.5000 0.3433
0.5000 0.0000 0.3482
0.5000 0.5000 0.8482
```